Theoretical XRD peak list
Compound: LiNb2Te4Cl10O
Radiation: Cu Kα
Structure: a cell relaxed with GGA-PBE
Peak positions follow from Bragg's law for the DFT cell and can differ from measured ones.

Cell and atoms:
a = 7.8086 Å, b = 9.0476 Å, c = 9.3399 Å
α = 96.40°, β = 99.57°, γ = 96.68°
Space group P1 (No. 1)
Inequivalent atoms, fractional coordinates:
Li  0.0000  0.0000  0.0000 (multiplicity 1)
Nb  0.0326  0.2045  0.3444 (multiplicity 1)
Nb  0.0582  0.9364  0.6342 (multiplicity 1)
Te  0.3038  0.4693  0.8765 (multiplicity 1)
Te  0.4432  0.7481  0.0201 (multiplicity 1)
Te  0.6016  0.3572  0.9915 (multiplicity 1)
Te  0.7407  0.6345  0.1381 (multiplicity 1)
Cl  0.0007  0.3690  0.1501 (multiplicity 1)
Cl  0.0642  0.7840  0.8574 (multiplicity 1)
Cl  0.2269  0.7695  0.5363 (multiplicity 1)
Cl  0.2303  0.0782  0.2078 (multiplicity 1)
Cl  0.2698  0.3670  0.4787 (multiplicity 1)
Cl  0.3276  0.0844  0.7758 (multiplicity 1)
Cl  0.7899  0.7881  0.5360 (multiplicity 1)
Cl  0.7994  0.0183  0.1702 (multiplicity 1)
Cl  0.8096  0.3071  0.4399 (multiplicity 1)
Cl  0.9061  0.1041  0.7812 (multiplicity 1)
O  0.0474  0.0605  0.4848 (multiplicity 1)

Peak list (10 most intense, 10 to 80 degrees two-theta, in order of rising 2θ)
13.7°, I 100, (1 0 -1); 14.2°, I 22, (1 -1 0); 14.8°, I 32, (0 1 1); 16.3°, I 17, (1 1 0); 17.1°, I 29, (1 1 -1); 20.7°, I 47, (0 1 -2); 20.8°, I 29, (1 0 -2); 30.5°, I 19, (1 1 -3); 33.9°, I 22, (1 3 0); 35.3°, I 23, (-3 1 1)

=====

Theoretical XRD peak list
Compound: Ti4NiBi
Radiation: Cu Kα
Structure: a cell relaxed with GGA-PBE
Peak positions follow from Bragg's law for the DFT cell and can differ from measured ones.

Cell and atoms:
a = 4.8957 Å, b = 6.5252 Å, c = 13.2249 Å
α = 90.00°, β = 90.00°, γ = 90.00°
Space group Immm (No. 71)
Inequivalent atoms, fractional coordinates:
Ti  0.0000  0.0000  0.1691 (multiplicity 4)
Ti  0.0000  0.2264  0.3818 (multiplicity 8)
Ti  0.0000  0.3053  0.0000 (multiplicity 4)
Ni  0.2383  0.5000  0.5000 (multiplicity 4)
Bi  0.0000  0.5000  0.1996 (multiplicity 4)

Peak list (10 most intense, 10 to 80 degrees two-theta, in order of rising 2θ)
22.7°, I 55, (1 1 0); 24.4°, I 54, (0 1 3); 26.5°, I 41, (1 1 2); 30.6°, I 29, (0 2 2); 36.7°, I 42, (2 0 0); 38.7°, I 79, (1 0 5); 39.0°, I 100, (1 2 3); 48.5°, I 49, (2 2 2); 52.9°, I 27, (2 1 5); 67.6°, I 29, (3 2 3)